1.
Structure and calculated X-ray diffraction stick pattern of Y4HoMg (a DFT-relaxed cell (GGA-PBE, Alexandria); Cu Kα (λ = 1.5418 Å)).

Cell and atoms:
Unit cell a=3.592 b=3.592 c=14.268 alpha=90.00 beta=90.00 gamma=90.00
Fractional positions:
Y: 0.000 0.000 0.151
Y: 0.000 0.000 0.849
Y: 0.500 0.500 0.326
Y: 0.500 0.500 0.674
Ho: 0.000 0.000 0.500
Mg: 0.500 0.500 0.000

Largest 6 diffraction maxima, by intensity, 2θ = 10–80°:
d = 2.866 Å, 31.21°, I = 100, (1 0 3); d = 2.540 Å, 35.34°, I = 37, (1 1 0); d = 1.522 Å, 60.88°, I = 32, (2 1 3); d = 1.736 Å, 52.74°, I = 20, (1 1 6); d = 3.208 Å, 27.81°, I = 15, (1 0 2); d = 2.378 Å, 37.83°, I = 13, (0 0 6)

2.
Structure and calculated X-ray diffraction stick pattern of CaH12Cl2O6 (a DFT-relaxed cell (GGA-PBE, Alexandria); Cu Kα (λ = 1.5418 Å)).

Cell and atoms:
Unit cell a=7.903 b=7.903 c=4.013 alpha=90.00 beta=90.00 gamma=120.00
Fractional positions:
Ca: 0.000 0.000 0.000
H: 0.100 0.666 0.099
H: 0.114 0.347 0.518
H: 0.234 0.886 0.518
H: 0.334 0.434 0.099
H: 0.347 0.114 0.482
H: 0.434 0.334 0.901
H: 0.566 0.900 0.099
H: 0.653 0.766 0.518
H: 0.666 0.100 0.901
H: 0.766 0.653 0.482
H: 0.886 0.234 0.482
H: 0.900 0.566 0.901
Cl: 0.333 0.667 0.396
Cl: 0.667 0.333 0.604
O: 0.000 0.214 0.500
O: 0.000 0.690 0.000
O: 0.214 0.000 0.500
O: 0.310 0.310 0.000
O: 0.690 0.000 0.000
O: 0.786 0.786 0.500

Largest 6 diffraction maxima, by intensity, 2θ = 10–80°:
d = 2.174 Å, 41.54°, I = 100, (1 2 1); d = 3.951 Å, 22.50°, I = 77, (1 1 0); d = 3.462 Å, 25.74°, I = 71, (0 1 1); d = 2.816 Å, 31.78°, I = 71, (1 1 1); d = 2.281 Å, 39.50°, I = 64, (3 0 0); d = 2.604 Å, 34.44°, I = 63, (2 0 1)